# 1
The following is a computed powder X-ray diffraction pattern of LiMnPHO5. It was derived from the PBE+U geometry in the Materials Project, using Cu Kα.
Kinematic intensities with the Lorentz-polarization factor, no thermal factor.

Atomic structure:
a b c (Å): 5.1753 5.5505 7.2588
angles (deg): 106.27 107.78 101.54
Atoms (fractional coordinates):
Li 0.2482 0.3859 0.3243
Li 0.7518 0.6141 0.6757
Mn 0.5000 0.0000 0.0000
Mn 0.5000 0.0000 0.5000
P 0.1712 0.3726 0.7345
P 0.8288 0.6274 0.2655
H 0.1393 0.9198 0.1560
H 0.8607 0.0802 0.8440
O 0.1430 0.7436 0.4326
O 0.1880 0.6670 0.8399
O 0.2092 0.2255 0.8864
O 0.3432 0.0392 0.2234
O 0.3774 0.3562 0.6198
O 0.6226 0.6438 0.3802
O 0.6568 0.9608 0.7766
O 0.7908 0.7745 0.1136
O 0.8120 0.3330 0.1601
O 0.8570 0.2564 0.5674

Most intense lines, 2θ from 10° to 90°, low angle first:
| 2theta | d/Å | I/Imax |
| --- | --- | --- |
| 17.5 | 5.062 | 18 |
| 18.7 | 4.752 | 17 |
| 19.0 | 4.681 | 25 |
| 21.5 | 4.142 | 25 |
| 25.1 | 3.549 | 21 |
| 26.1 | 3.418 | 32 |
| 26.9 | 3.316 | 100 |
| 29.8 | 3.001 | 46 |
| 34.6 | 2.591 | 43 |
| 52.6 | 1.739 | 13 |

***

# 2
The following is a computed powder X-ray diffraction pattern of LiMn3P3H2O12. It was derived from the PBE+U geometry in the Materials Project, using Cu Kα.
Kinematic intensities with the Lorentz-polarization factor, no thermal factor.

Atomic structure:
a b c (Å): 8.7312 8.7312 6.6857
angles (deg): 107.01 107.01 92.44
Atoms (fractional coordinates):
Li 0.0047 0.9953 0.7500
Li 0.9953 0.0047 0.2500
Mn 0.0450 0.3667 0.6202
Mn 0.2898 0.7102 0.2500
Mn 0.3667 0.0450 0.1202
Mn 0.6333 0.9550 0.8798
Mn 0.7102 0.2898 0.7500
Mn 0.9550 0.6333 0.3798
P 0.0978 0.3156 0.1036
P 0.3156 0.0978 0.6036
P 0.3236 0.6764 0.7500
P 0.6764 0.3236 0.2500
P 0.6844 0.9022 0.3964
P 0.9022 0.6844 0.8964
H 0.3725 0.3734 0.1873
H 0.3734 0.3725 0.6873
H 0.6266 0.6275 0.3127
H 0.6275 0.6266 0.8127
O 0.0231 0.6785 0.1148
O 0.0348 0.3840 0.2985
O 0.1312 0.1384 0.0744
O 0.1384 0.1312 0.5744
O 0.2168 0.7092 0.5396
O 0.2618 0.4286 0.1469
O 0.2881 0.4966 0.7368
O 0.2908 0.7832 0.9604
O 0.3215 0.9769 0.3852
O 0.3840 0.0348 0.7985
O 0.4286 0.2618 0.6469
O 0.4966 0.2881 0.2368
O 0.5034 0.7119 0.7632
O 0.5714 0.7382 0.3531
O 0.6160 0.9652 0.2015
O 0.6785 0.0231 0.6148
O 0.7092 0.2168 0.0396
O 0.7119 0.5034 0.2632
O 0.7382 0.5714 0.8531
O 0.7832 0.2908 0.4604
O 0.8616 0.8688 0.4256
O 0.8688 0.8616 0.9256
O 0.9652 0.6160 0.7015
O 0.9769 0.3215 0.8852

Most intense lines, 2θ from 10° to 90°, low angle first:
| 2theta | d/Å | I/Imax |
| --- | --- | --- |
| 14.0 | 6.304 | 83 |
| 16.2 | 5.474 | 30 |
| 25.4 | 3.506 | 44 |
| 27.9 | 3.193 | 100 |
| 32.5 | 2.756 | 71 |
| 32.8 | 2.732 | 62 |
| 33.6 | 2.668 | 25 |
| 34.6 | 2.595 | 32 |
| 35.8 | 2.511 | 29 |
| 41.6 | 2.173 | 29 |

***

# 3
The following is a computed powder X-ray diffraction pattern of Li3MnP2HO8. It was derived from the PBE+U geometry in the Materials Project, using Cu Kα.
Kinematic intensities with the Lorentz-polarization factor, no thermal factor.

Atomic structure:
a b c (Å): 4.9599 8.4235 7.7703
angles (deg): 90.00 103.70 90.00
Atoms (fractional coordinates):
Li 0.0809 0.0000 0.3161
Li 0.1352 0.8465 0.6119
Li 0.3901 0.5530 0.9443
Li 0.6099 0.0530 0.0557
Li 0.8648 0.3465 0.3881
Li 0.9191 0.5000 0.6839
Mn 0.2495 0.2030 0.7481
Mn 0.7505 0.7030 0.2519
P 0.1157 0.8490 0.9738
P 0.3773 0.5641 0.5292
P 0.6227 0.0641 0.4708
P 0.8843 0.3490 0.0262
H 0.2970 0.2061 0.2423
H 0.7030 0.7061 0.7577
O 0.0397 0.2602 0.1999
O 0.0865 0.3913 0.9064
O 0.1742 0.6870 0.4268
O 0.2178 0.4150 0.5649
O 0.2412 0.0016 0.9140
O 0.3486 0.7406 0.0772
O 0.3730 0.0286 0.5526
O 0.4935 0.1346 0.2768
O 0.5065 0.6346 0.7232
O 0.6270 0.5286 0.4474
O 0.6514 0.2406 0.9228
O 0.7588 0.5016 0.0860
O 0.7822 0.9150 0.4351
O 0.8258 0.1870 0.5732
O 0.9135 0.8913 0.0936
O 0.9603 0.7602 0.8001

Most intense lines, 2θ from 10° to 90°, low angle first:
| 2theta | d/Å | I/Imax |
| --- | --- | --- |
| 15.8 | 5.622 | 30 |
| 22.1 | 4.026 | 25 |
| 24.2 | 3.682 | 100 |
| 28.1 | 3.171 | 40 |
| 28.4 | 3.142 | 72 |
| 31.8 | 2.811 | 36 |
| 37.9 | 2.371 | 16 |
| 41.8 | 2.161 | 15 |
| 43.4 | 2.085 | 14 |
| 49.6 | 1.837 | 30 |

***

# 4
The following is a computed powder X-ray diffraction pattern of Li4Mn3P4H2O16. It was derived from the PBE+U geometry in the Materials Project, using Cu Kα.
Kinematic intensities with the Lorentz-polarization factor, no thermal factor.

Atomic structure:
a b c (Å): 9.3875 9.4355 8.6675
angles (deg): 90.00 116.75 90.00
Atoms (fractional coordinates):
Li 0.0494 0.1441 0.0913
Li 0.0494 0.3559 0.5913
Li 0.2935 0.5062 0.2079
Li 0.2935 0.9938 0.7079
Li 0.7065 0.0062 0.2921
Li 0.7065 0.4938 0.7921
Li 0.9506 0.6441 0.4087
Li 0.9506 0.8559 0.9087
Mn 0.3740 0.6355 0.5990
Mn 0.3740 0.8645 0.0990
Mn 0.5000 0.0000 0.5000
Mn 0.5000 0.5000 0.0000
Mn 0.6260 0.1355 0.9010
Mn 0.6260 0.3645 0.4010
P 0.1619 0.6788 0.8036
P 0.1619 0.8212 0.3036
P 0.3782 0.1859 0.0646
P 0.3782 0.3141 0.5646
P 0.6218 0.6859 0.4354
P 0.6218 0.8141 0.9354
P 0.8381 0.1788 0.6964
P 0.8381 0.3212 0.1964
H 0.1041 0.1999 0.8519
H 0.1041 0.3001 0.3519
H 0.8959 0.6999 0.6481
H 0.8959 0.8001 0.1481
O 0.0136 0.1902 0.7129
O 0.0136 0.3098 0.2129
O 0.1482 0.6120 0.6332
O 0.1482 0.8880 0.1332
O 0.1996 0.2117 0.0170
O 0.1996 0.2883 0.5170
O 0.2308 0.6679 0.3306
O 0.2308 0.8321 0.8306
O 0.2639 0.5866 0.9629
O 0.2639 0.9134 0.4629
O 0.3928 0.1373 0.9026
O 0.3928 0.3627 0.4026
O 0.4490 0.0734 0.2107
O 0.4490 0.4266 0.7107
O 0.4732 0.1741 0.6326
O 0.4732 0.3259 0.1326
O 0.5268 0.6741 0.8674
O 0.5268 0.8259 0.3674
O 0.5510 0.5734 0.2893
O 0.5510 0.9266 0.7893
O 0.6072 0.6373 0.5974
O 0.6072 0.8627 0.0974
O 0.7361 0.0866 0.5371
O 0.7361 0.4134 0.0371
O 0.7692 0.1679 0.1694
O 0.7692 0.3321 0.6694
O 0.8004 0.7117 0.4830
O 0.8004 0.7883 0.9830
O 0.8518 0.1120 0.8668
O 0.8518 0.3880 0.3668
O 0.9864 0.6902 0.7871
O 0.9864 0.8098 0.2871

Most intense lines, 2θ from 10° to 90°, low angle first:
| 2theta | d/Å | I/Imax |
| --- | --- | --- |
| 10.6 | 8.383 | 100 |
| 14.1 | 6.267 | 18 |
| 14.9 | 5.958 | 18 |
| 22.1 | 4.028 | 24 |
| 23.2 | 3.830 | 18 |
| 29.5 | 3.032 | 12 |
| 30.2 | 2.957 | 16 |
| 30.7 | 2.913 | 29 |
| 34.3 | 2.618 | 19 |
| 40.3 | 2.235 | 14 |

***

# 5
The following is a computed powder X-ray diffraction pattern of Li2Mn2P4H3O16. It was derived from the PBE+U geometry in the Materials Project, using Cu Kα.
Kinematic intensities with the Lorentz-polarization factor, no thermal factor.

Atomic structure:
a b c (Å): 4.8802 7.5219 8.1088
angles (deg): 88.84 87.60 75.33
Atoms (fractional coordinates):
Li 0.0000 0.0000 0.0000
Li 0.1948 0.6991 0.2444
Mn 0.1013 0.8498 0.6234
Mn 0.6039 0.3525 0.1210
P 0.2241 0.0968 0.2823
P 0.4908 0.1018 0.7921
P 0.7126 0.5982 0.4542
P 0.9806 0.6116 0.9658
H 0.0669 0.3774 0.5214
H 0.1419 0.3310 0.7394
H 0.5639 0.8695 0.1357
O 0.0619 0.6548 0.7883
O 0.1442 0.0426 0.4552
O 0.2400 0.5112 0.0704
O 0.2771 0.9861 0.8221
O 0.3400 0.2865 0.6998
O 0.3545 0.9123 0.1823
O 0.4318 0.2194 0.2902
O 0.4640 0.6939 0.5670
O 0.5966 0.5468 0.2897
O 0.6028 0.1551 0.9574
O 0.7401 0.0079 0.6796
O 0.7821 0.4799 0.9546
O 0.8542 0.7883 0.0645
O 0.8616 0.4129 0.5454
O 0.9274 0.7135 0.4254
O 0.9702 0.1890 0.1746

Most intense lines, 2θ from 10° to 90°, low angle first:
| 2theta | d/Å | I/Imax |
| --- | --- | --- |
| 16.3 | 5.441 | 31 |
| 16.5 | 5.387 | 51 |
| 22.1 | 4.015 | 30 |
| 23.0 | 3.873 | 29 |
| 25.0 | 3.565 | 100 |
| 25.3 | 3.524 | 24 |
| 28.7 | 3.107 | 36 |
| 29.0 | 3.080 | 24 |
| 29.5 | 3.030 | 41 |
| 32.9 | 2.720 | 30 |

***

# 6
The following is a computed powder X-ray diffraction pattern of Li4MnP6H8O22. It was derived from the PBE+U geometry in the Materials Project, using Cu Kα.
Kinematic intensities with the Lorentz-polarization factor, no thermal factor.

Atomic structure:
a b c (Å): 7.0112 7.4934 8.5737
angles (deg): 84.98 76.32 86.00
Atoms (fractional coordinates):
Li 0.0650 0.3514 0.0846
Li 0.3210 0.4413 0.7378
Li 0.6790 0.5587 0.2622
Li 0.9350 0.6486 0.9154
Mn 0.0000 0.0000 0.5000
P 0.2220 0.0183 0.8090
P 0.3453 0.7070 0.9938
P 0.4433 0.2141 0.3333
P 0.5567 0.7859 0.6667
P 0.6547 0.2930 0.0062
P 0.7780 0.9817 0.1910
H 0.0169 0.3904 0.3843
H 0.0363 0.5878 0.3136
H 0.2672 0.7495 0.3101
H 0.2774 0.7216 0.4922
H 0.7226 0.2784 0.5078
H 0.7328 0.2505 0.6899
H 0.9637 0.4122 0.6864
H 0.9831 0.6096 0.6157
O 0.0190 0.5250 0.6992
O 0.0686 0.9313 0.7487
O 0.1854 0.7644 0.4223
O 0.1984 0.2134 0.8390
O 0.2089 0.5788 0.9530
O 0.2336 0.1809 0.4133
O 0.2531 0.9102 0.9754
O 0.4025 0.6774 0.1507
O 0.4367 0.9792 0.6878
O 0.4520 0.2825 0.1458
O 0.4520 0.6555 0.5972
O 0.5480 0.3445 0.4028
O 0.5480 0.7175 0.8542
O 0.5633 0.0208 0.3122
O 0.5975 0.3226 0.8493
O 0.7469 0.0898 0.0246
O 0.7664 0.8191 0.5867
O 0.7911 0.4212 0.0470
O 0.8016 0.7866 0.1610
O 0.8146 0.2356 0.5777
O 0.9314 0.0687 0.2513
O 0.9810 0.4750 0.3008

Most intense lines, 2θ from 10° to 90°, low angle first:
| 2theta | d/Å | I/Imax |
| --- | --- | --- |
| 11.9 | 7.455 | 92 |
| 15.4 | 5.763 | 84 |
| 18.1 | 4.908 | 90 |
| 18.7 | 4.752 | 48 |
| 22.3 | 3.984 | 64 |
| 24.3 | 3.666 | 49 |
| 27.7 | 3.226 | 71 |
| 27.9 | 3.201 | 85 |
| 30.6 | 2.923 | 100 |
| 35.3 | 2.544 | 59 |